Record 1
For CsInHg2Cl4, DFT lattice parameters and positions (GGA-PBE) gives the computed powder diffraction line list in this record (Cu Kα, 1.54184 Å).
Lines closer than 0.1° are merged.

Most intense lines, 10 to 80 degrees two-theta, low angle first:
- 2θ 13.29, I = 66
- 2θ 13.74, I = 69
- 2θ 22.27, I = 87
- 2θ 23.09, I = 98
- 2θ 23.93, I = 100
- 2θ 25.76, I = 70
- 2θ 29.34, I = 66
- 2θ 30.43, I = 43
- 2θ 30.72, I = 46
- 2θ 31.58, I = 47

Structural model:
```
CsInHg2Cl4
1.0
6.536 0.000 0.000
-0.202 7.442 0.000
-2.598 -3.446 6.918
Cs In Hg Cl
1 1 2 4
Cartesian
0.000 0.000 0.000
1.172 0.184 5.704
-1.000 3.570 2.880
2.242 3.985 3.255
0.308 -0.092 3.499
0.462 2.247 6.698
3.157 1.772 0.176
3.570 0.242 5.731
```

Record 2
For MnPd4Pt15, DFT lattice parameters and positions (GGA-PBE) gives the computed powder diffraction line list in this record (Cu Kα, 1.54184 Å).
Lines closer than 0.1° are merged.

Most intense lines, 10 to 80 degrees two-theta, low angle first:
- 2θ 22.42, I = 2
- 2θ 22.59, I = 4
- 2θ 32.04, I = 3
- 2θ 32.16, I = 2
- 2θ 39.56, I = 100
- 2θ 45.76, I = 16
- 2θ 46.12, I = 33
- 2θ 51.91, I = 2
- 2θ 67.00, I = 21
- 2θ 67.28, I = 11

Structural model:
```
MnPd4Pt15
1.0
3.936 0.000 0.000
0.000 3.936 0.000
0.000 0.000 19.829
Mn Pd Pt
1 4 15
Cartesian
0.000 0.000 0.000
0.000 0.000 3.884
0.000 0.000 7.910
0.000 0.000 11.919
0.000 0.000 15.946
0.000 1.968 1.864
0.000 1.968 5.906
0.000 1.968 9.915
0.000 1.968 13.924
0.000 1.968 17.966
1.968 0.000 1.864
1.968 0.000 5.906
1.968 0.000 9.915
1.968 0.000 13.924
1.968 0.000 17.966
1.968 1.968 0.000
1.968 1.968 3.895
1.968 1.968 7.916
1.968 1.968 11.914
1.968 1.968 15.935
```

Record 3
For LaPm2Sn6, DFT lattice parameters and positions (GGA-PBE) gives the computed powder diffraction line list in this record (Cu Kα, 1.54184 Å).
Lines closer than 0.1° are merged.

Most intense lines, 10 to 80 degrees two-theta, low angle first:
- 2θ 25.61, I = 10
- 2θ 31.40, I = 14
- 2θ 32.69, I = 100
- 2θ 32.87, I = 16
- 2θ 39.91, I = 19
- 2θ 40.58, I = 11
- 2θ 41.57, I = 12
- 2θ 58.98, I = 11
- 2θ 62.03, I = 12
- 2θ 67.93, I = 13

Structural model:
```
LaPm2Sn6
1.0
-2.259 3.521 8.602
2.259 -3.521 8.602
2.259 3.521 -8.602
La Pm Sn
1 2 6
Cartesian
0.000 0.000 0.000
2.259 0.000 5.588
0.000 3.521 0.997
2.259 2.041 -1.128
2.259 1.507 2.336
0.000 2.041 4.301
0.000 1.480 7.473
0.000 2.014 10.938
0.000 5.001 4.301
```

Record 4
For Ca12InPd5, DFT lattice parameters and positions (GGA-PBE) gives the computed powder diffraction line list in this record (Cu Kα, 1.54184 Å).
Lines closer than 0.1° are merged.

Most intense lines, 10 to 80 degrees two-theta, low angle first:
- 2θ 16.04, I = 41
- 2θ 18.36, I = 89
- 2θ 22.03, I = 37
- 2θ 31.92, I = 54
- 2θ 33.42, I = 97
- 2θ 34.37, I = 100
- 2θ 35.03, I = 34
- 2θ 37.08, I = 40
- 2θ 37.23, I = 34
- 2θ 44.15, I = 46

Structural model:
```
Ca12InPd5
1.0
-4.830 4.850 5.525
4.830 -4.850 5.525
4.830 4.850 -5.525
Ca In Pd
12 1 5
Cartesian
4.830 3.011 -2.907
2.758 1.722 0.000
6.902 1.722 0.000
1.804 4.850 -1.802
3.026 0.000 3.723
0.000 1.839 2.618
4.830 3.011 2.907
1.804 4.850 1.802
3.026 0.000 7.327
-2.072 3.128 5.525
2.072 3.128 5.525
0.000 1.839 8.432
0.000 0.000 5.525
0.000 0.000 0.000
4.830 0.000 1.430
0.000 3.137 0.000
0.000 6.563 0.000
0.000 4.850 4.095
```

Record 5
For Ac2La7Pr4, DFT lattice parameters and positions (GGA-PBE) gives the computed powder diffraction line list in this record (Cu Kα, 1.54184 Å).
Lines closer than 0.1° are merged.

Most intense lines, 10 to 80 degrees two-theta, low angle first:
- 2θ 26.90, I = 25
- 2θ 27.28, I = 23
- 2θ 28.12, I = 31
- 2θ 30.49, I = 100
- 2θ 31.27, I = 21
- 2θ 34.12, I = 31
- 2θ 48.22, I = 27
- 2θ 49.81, I = 19
- 2θ 56.09, I = 20
- 2θ 58.13, I = 13

Structural model:
```
Ac2La7Pr4
1.0
6.537 0.000 0.000
-3.269 5.662 0.000
0.000 0.000 13.259
Ac La Pr
2 7 4
Cartesian
0.000 3.774 0.000
3.269 1.887 0.000
0.000 0.000 0.000
-1.238 2.145 10.166
-2.030 3.517 3.093
2.476 0.000 10.166
1.238 2.145 3.093
4.061 0.000 3.093
2.030 3.517 10.166
0.000 0.000 5.133
0.000 0.000 8.126
0.000 3.774 6.629
3.269 1.887 6.629
```